Calculated powder diffractogram of Ac12Pt6Pb for copper Kα, from a DFT-relaxed cell (GGA-PBE, Alexandria).

Largest 10 diffraction maxima, by intensity, 2θ from 15° to 90°:
| 2theta | d [Å] | Rel. int. |
| --- | --- | --- |
| 30.4 | 2.941 | 100.0 |
| 41.9 | 2.158 | 31.9 |
| 51.2 | 1.785 | 23.4 |
| 48.2 | 1.887 | 18.2 |
| 49.7 | 1.834 | 17.6 |
| 74.1 | 1.279 | 16.9 |
| 73.0 | 1.297 | 14.7 |
| 28.1 | 3.176 | 14.5 |
| 59.4 | 1.556 | 14.4 |
| 25.6 | 3.479 | 13.7 |

Structure:
a b c (Å): 9.529 9.529 9.529
angles (deg): 109.47 109.47 109.47
Atoms (fractional coordinates):
Ac1 0.134 0.822 0.311
Ac2 0.178 0.311 0.489
Ac3 0.178 0.689 0.866
Ac4 0.311 0.134 0.822
Ac5 0.311 0.489 0.178
Ac6 0.489 0.178 0.311
Ac7 0.511 0.822 0.689
Ac8 0.689 0.511 0.822
Ac9 0.689 0.866 0.178
Ac10 0.822 0.311 0.134
Ac11 0.822 0.689 0.511
Ac12 0.866 0.178 0.689
Pt1 0.132 0.632 0.500
Pt2 0.368 0.500 0.868
Pt3 0.500 0.132 0.632
Pt4 0.500 0.868 0.368
Pt5 0.632 0.500 0.132
Pt6 0.868 0.368 0.500
Pb1 0.000 0.000 0.000